Computed powder XRD pattern of Zn2Cu4Au for Cu Kα (λ = 1.5418 Å), from a DFT-relaxed cell (PBE, Alexandria).

Cell and atoms:
```
data_Zn2Cu4Au
_chemical_formula_sum 'Zn4 Cu8 Au2'
_space_group_name_H-M_alt 'P -1'
_space_group_IT_number 2
_space_group_name_Hall '-P 1'
_cell_length_a 4.9573
_cell_length_b 5.0425
_cell_length_c 8.9386
_cell_angle_alpha 84.09
_cell_angle_beta 87.36
_cell_angle_gamma 60.87
loop_
_atom_site_label
_atom_site_fract_x
_atom_site_fract_y
_atom_site_fract_z
_atom_site_occupancy
Zn1 0.1874 0.1216 0.0050 1
Zn2 0.3117 0.8789 0.4947 1
Cu1 0.0008 0.4900 0.2088 1
Cu2 0.0069 0.0075 0.7460 1
Cu3 0.4904 0.5089 0.2916 1
Cu4 0.4976 0.9934 0.7546 1
Au1 0.0000 0.5000 0.5000 1
Au2 0.5000 0.5000 0.0000 1
```

Top 6 peaks for 10 to 90 degrees two-theta, low angle first:
2theta  intensity
36.26  87
38.31  71
40.59  100
41.16  74
44.89  49
45.85  47